Entry 1:
For TbEr7Tm3, a crystal structure in Alexandria, relaxed with PBE gives the simulated powder X-ray diffraction pattern in this record (Cu Ka).
Intensities are scaled so that the largest is 1000.

Main lines, by angle (10 to 80 degrees two-theta):
- 32.01°, I = 257, hkl 1 1 2
- 32.27°, I = 1000, hkl 2 1 0
- 32.37°, I = 195, hkl 2 0 1
- 32.49°, I = 601, hkl 2 1 -2
- 32.88°, I = 851, hkl 0 2 0
- 33.57°, I = 673, hkl 0 1 3
- 53.51°, I = 195, hkl 4 0 -2
- 58.33°, I = 187, hkl 2 3 0
- 59.18°, I = 259, hkl 0 3 3
- 64.25°, I = 322, hkl 4 2 -2

Structure:
```
data_TbEr7Tm3
_chemical_formula_sum 'Tb1 Er7 Tm3'
_space_group_name_H-M_alt 'P 1 2/m 1'
_space_group_IT_number 10
_space_group_name_Hall '-P 2y'
_cell_length_a 6.8530
_cell_length_b 5.4463
_cell_length_c 9.7617
_cell_angle_alpha 90.00
_cell_angle_beta 109.74
_cell_angle_gamma 90.00
loop_
_atom_site_label
_atom_site_type_symbol
_atom_site_fract_x
_atom_site_fract_y
_atom_site_fract_z
Tb1 Tb 0.0000 0.0000 0.0000
Er1 Er 0.0000 0.0000 0.5000
Er2 Er 0.1484 0.5000 0.7907
Er3 Er 0.3221 0.5000 0.1415
Er4 Er 0.4233 0.0000 0.3315
Tm1 Tm 0.2768 0.5000 0.4966
Tm2 Tm 0.5000 0.0000 0.0000
```


Entry 2:
For NaMgGa2O4, a crystal structure in Alexandria, relaxed with PBE gives the simulated powder X-ray diffraction pattern in this record (Cu Ka).
Intensities are scaled so that the largest is 1000.

Main lines, by angle (10 to 80 degrees two-theta):
- 18.51°, I = 295, hkl 0 0 2
- 26.83°, I = 175, hkl 1 1 0
- 32.79°, I = 1000, hkl 1 1 2
- 38.30°, I = 138, hkl 2 0 0
- 42.86°, I = 79, hkl 2 0 2
- 46.72°, I = 88, hkl 1 1 4
- 54.70°, I = 315, hkl 2 0 4
- 55.28°, I = 154, hkl 2 2 0
- 64.73°, I = 124, hkl 1 1 6
- 65.78°, I = 237, hkl 3 1 2

Structure:
```
data_NaMgGa2O4
_chemical_formula_sum 'Na2 Mg2 Ga4 O8'
_space_group_name_H-M_alt 'I -4 2 m'
_space_group_IT_number 121
_space_group_name_Hall 'I -4 2'
_cell_length_a 4.7001
_cell_length_b 4.7001
_cell_length_c 9.5883
_cell_angle_alpha 90.00
_cell_angle_beta 90.00
_cell_angle_gamma 90.00
loop_
_atom_site_label
_atom_site_type_symbol
_atom_site_fract_x
_atom_site_fract_y
_atom_site_fract_z
Na1 Na 0.0000 0.0000 0.0000
Mg1 Mg 0.0000 0.0000 0.5000
Ga1 Ga 0.0000 0.5000 0.2500
O1 O 0.2256 0.2256 0.3582
```


Entry 3:
For Cu3Os, a crystal structure in Alexandria, relaxed with PBE gives the simulated powder X-ray diffraction pattern in this record (Cu Ka).
Intensities are scaled so that the largest is 1000.

Main lines, by angle (10 to 80 degrees two-theta):
- 11.82°, I = 404, hkl 0 0 1
- 23.78°, I = 100, hkl 0 0 2
- 34.41°, I = 78, hkl 1 0 0
- 36.00°, I = 51, hkl 0 0 3
- 36.51°, I = 153, hkl 1 0 1
- 42.26°, I = 1000, hkl 1 0 2
- 48.66°, I = 162, hkl 0 0 4
- 49.46°, I = 315, hkl 1 1 0
- 71.92°, I = 193, hkl 1 1 4
- 72.55°, I = 96, hkl 2 0 0

Structure:
```
data_Cu3Os
_chemical_formula_sum 'Cu3 Os1'
_space_group_name_H-M_alt 'P 4/m m m'
_space_group_IT_number 123
_space_group_name_Hall '-P 4 2'
_cell_length_a 2.6060
_cell_length_b 2.6060
_cell_length_c 7.4843
_cell_angle_alpha 90.00
_cell_angle_beta 90.00
_cell_angle_gamma 90.00
loop_
_atom_site_label
_atom_site_type_symbol
_atom_site_fract_x
_atom_site_fract_y
_atom_site_fract_z
Cu1 Cu 0.0000 0.0000 0.0000
Cu2 Cu 0.5000 0.5000 0.2404
Os1 Os 0.0000 0.0000 0.5000
```